Diffraction record for RbZn2Ag2Cl7. The powder XRD pattern is theoretical, not measured: it uses a structure optimized by DFT (PBE) and Cu Kα, 1.54184 Å.
Kinematic intensities with the Lorentz-polarization factor, no thermal factor.

Top 10 peaks for 2θ = 5–70°, by angle:
16.70°, rel. 92, (0 0 6)
18.25°, rel. 99, (1 0 4)
24.35°, rel. 35, (1 0 7)
25.14°, rel. 100, (1 1 0)
30.34°, rel. 31, (1 1 6)
31.25°, rel. 38, (0 2 4)
40.52°, rel. 31, (2 1 4)
42.56°, rel. 40, (1 1 12)
44.30°, rel. 52, (3 0 0)
56.84°, rel. 35, (0 3 12)

Cell: 7.0833 7.0833 31.8577 Å, 90.00 90.00 120.00°
Space group R32 (No. 155, hexagonal axes)
Inequivalent atoms, fractional coordinates:
Rb: 0.0000 0.0000 0.0000
Zn: 0.0000 0.0000 0.4274
Ag: 0.0000 0.0000 0.2546
Cl: 0.0000 0.0000 0.5000
Cl: 0.0095 0.3110 0.5951